# 1
This entry pairs a crystal structure of Nd2Y7Tm3 with its simulated X-ray diffraction stick pattern. Radiation: Cu Kα (λ = 1.5418 Å). Structure: DFT lattice parameters and positions (GGA-PBE).

Top 10 peaks for 10 to 80 degrees two-theta, in order of rising 2θ:
2θ/deg  I (rel.)  (hkl)
29.03  26.3  2 0 -2
29.76  46.9  1 1 1
30.75  74.7  2 0 -3
30.87  90.8  0 0 6
31.35  100.0  1 1 2
33.69  65.1  2 0 3
34.87  80.6  1 1 -4
50.25  38.0  3 1 -1
52.86  33.9  2 0 -9
59.75  37.0  3 1 5

Structure:
a b c (Å): 6.3605 3.5185 17.4752
angles (deg): 90.00 96.06 90.00
Space group P2/m (No. 10)
Inequivalent atoms, fractional coordinates:
Nd (0.0603, 0.0000, 0.1728) [2 per cell]
Y (0.0000, 0.5000, 0.5000) [1 per cell]
Y (0.2287, 0.0000, 0.6681) [2 per cell]
Y (0.2570, 0.0000, 0.9981) [2 per cell]
Y (0.2761, 0.5000, 0.3369) [2 per cell]
Tm (0.4526, 0.5000, 0.8425) [2 per cell]
Tm (0.5000, 0.0000, 0.5000) [1 per cell]


# 2
This entry pairs a crystal structure of Nd3YTm3 with its simulated X-ray diffraction stick pattern. Radiation: Cu Kα (λ = 1.5418 Å). Structure: DFT lattice parameters and positions (GGA-PBE).

Top 10 peaks for 10 to 80 degrees two-theta, in order of rising 2θ:
2θ/deg  I (rel.)  (hkl)
28.34  23.9  2 1 0
31.13  24.7  0 0 2
32.42  100.0  2 1 1
42.60  15.9  2 1 2
50.18  19.6  1 4 0
56.21  20.9  2 1 3
60.24  22.6  1 4 2
61.02  16.3  4 2 1
67.89  3.9  4 2 2
78.67  7.8  4 2 3

Structure:
a b c (Å): 9.6194 9.6194 5.7459
angles (deg): 90.00 90.00 120.00
Space group P6_3/m (No. 176)
Inequivalent atoms, fractional coordinates:
Nd (0.0473, 0.2428, 0.2500) [6 per cell]
Y (0.3333, 0.6667, 0.2500) [2 per cell]
Tm (0.0946, 0.4782, 0.7500) [6 per cell]


# 3
This entry pairs a crystal structure of Nd2Tm4Zr with its simulated X-ray diffraction stick pattern. Radiation: Cu Kα (λ = 1.5418 Å). Structure: DFT lattice parameters and positions (GGA-PBE).

Top 10 peaks for 10 to 80 degrees two-theta, in order of rising 2θ:
2θ/deg  I (rel.)  (hkl)
29.21  29.8  1 0 1
29.33  20.3  0 1 2
31.87  48.6  0 0 21
32.97  94.3  1 0 10
33.71  100.0  0 1 11
51.72  43.9  1 1 0
58.46  17.0  0 1 32
62.04  43.3  1 1 21
62.71  14.8  0 2 10
63.17  16.3  2 0 11

Structure:
a b c (Å): 3.5350 3.5350 58.9706
angles (deg): 90.00 90.00 120.00
Space group R3m (No. 160, hexagonal axes)
Inequivalent atoms, fractional coordinates:
Nd (0.0000, 0.0000, 0.0000) [3 per cell]
Nd (0.0000, 0.0000, 0.0988) [3 per cell]
Tm (0.0000, 0.0000, 0.1961) [3 per cell]
Tm (0.0000, 0.0000, 0.2828) [3 per cell]
Tm (0.0000, 0.0000, 0.7153) [3 per cell]
Tm (0.0000, 0.0000, 0.8148) [3 per cell]
Zr (0.0000, 0.0000, 0.9062) [3 per cell]


# 4
This entry pairs a crystal structure of Nd7Y2 with its simulated X-ray diffraction stick pattern. Radiation: Cu Kα (λ = 1.5418 Å). Structure: DFT lattice parameters and positions (GGA-PBE).

Top 10 peaks for 10 to 80 degrees two-theta, in order of rising 2θ:
2θ/deg  I (rel.)  (hkl)
16.14  0.6  1 0 0
18.96  0.8  1 0 1
19.84  0.7  0 0 2
28.15  0.7  1 1 0
29.91  100.0  1 1 1
34.68  50.5  2 -1 2
49.85  36.1  3 0 0
59.23  42.6  3 0 3
62.15  12.3  2 2 2
73.17  5.7  4 -2 4

Structure:
a b c (Å): 6.3396 6.3396 8.9520
angles (deg): 90.00 90.00 120.00
Space group P-31m (No. 162)
Inequivalent atoms, fractional coordinates:
Nd (0.0000, 0.0000, 0.0000) [1 per cell]
Nd (0.0000, 0.3331, 0.6688) [6 per cell]
Y (0.3333, 0.6667, 0.0000) [2 per cell]


# 5
This entry pairs a crystal structure of Nd3Y13 with its simulated X-ray diffraction stick pattern. Radiation: Cu Kα (λ = 1.5418 Å). Structure: DFT lattice parameters and positions (GGA-PBE).

Top 10 peaks for 10 to 80 degrees two-theta, in order of rising 2θ:
2θ/deg  I (rel.)  (hkl)
28.10  24.7  0 0 4
31.32  24.0  0 4 0
32.25  100.0  2 2 2
42.58  15.7  0 4 4
49.66  6.5  4 0 0
49.76  13.0  2 0 6
56.35  19.7  2 6 2
59.96  21.6  4 4 0
60.48  10.5  4 2 4
78.43  7.3  0 6 8

Structure:
a b c (Å): 7.3429 11.4226 12.6881
angles (deg): 90.00 90.00 90.00
Space group Amm2 (No. 38)
Inequivalent atoms, fractional coordinates:
Nd (0.0000, 0.0000, 0.0000) [2 per cell]
Nd (0.2512, 0.0000, 0.7481) [4 per cell]
Y (0.0000, 0.0000, 0.4979) [2 per cell]
Y (0.0000, 0.2489, 0.1658) [4 per cell]
Y (0.2501, 0.0000, 0.2499) [4 per cell]
Y (0.2505, 0.2480, 0.4163) [8 per cell]
Y (0.5000, 0.0000, 0.0005) [2 per cell]
Y (0.5000, 0.0000, 0.4979) [2 per cell]
Y (0.5000, 0.2481, 0.1667) [4 per cell]


# 6
This entry pairs a crystal structure of Nd7Y2 with its simulated X-ray diffraction stick pattern. Radiation: Cu Kα (λ = 1.5418 Å). Structure: DFT lattice parameters and positions (GGA-PBE).

Top 10 peaks for 10 to 80 degrees two-theta, in order of rising 2θ:
2θ/deg  I (rel.)  (hkl)
30.67  86.4  1 1 1
30.90  100.0  3 0 0
32.39  22.4  2 0 1
37.15  14.4  2 1 1
44.09  26.9  2 2 1
52.56  18.2  3 2 1
54.81  23.6  4 1 1
54.95  15.2  3 3 0
60.80  28.7  3 0 2
78.22  10.7  3 3 2

Structure:
a b c (Å): 10.0262 10.0262 3.5836
angles (deg): 90.00 90.00 120.00
Space group P-62m (No. 189)
Inequivalent atoms, fractional coordinates:
Nd (0.0000, 0.0000, 0.0000) [1 per cell]
Nd (0.0000, 0.3079, 0.5000) [3 per cell]
Nd (0.0000, 0.6392, 0.0000) [3 per cell]
Y (0.3333, 0.6667, 0.5000) [2 per cell]


# 7
This entry pairs a crystal structure of Nd5Y3 with its simulated X-ray diffraction stick pattern. Radiation: Cu Kα (λ = 1.5418 Å). Structure: DFT lattice parameters and positions (GGA-PBE).

Top 10 peaks for 10 to 80 degrees two-theta, in order of rising 2θ:
2θ/deg  I (rel.)  (hkl)
27.93  23.8  0 0 4
30.56  25.0  0 4 0
31.92  100.0  2 2 2
41.87  15.9  0 4 4
49.41  19.4  4 0 0
55.18  20.9  2 6 2
59.20  7.5  4 4 0
59.24  15.0  2 4 6
60.04  16.2  0 2 8
77.20  7.7  0 6 8

Structure:
a b c (Å): 7.3823 11.7002 12.7717
angles (deg): 90.00 90.00 90.00
Space group Amm2 (No. 38)
Inequivalent atoms, fractional coordinates:
Nd (0.0000, 0.0000, 0.0000) [2 per cell]
Nd (0.0000, 0.2476, 0.3336) [4 per cell]
Nd (0.2504, 0.2492, 0.0829) [8 per cell]
Nd (0.2516, 0.0000, 0.7504) [4 per cell]
Nd (0.5000, 0.0000, 0.4992) [2 per cell]
Y (0.0000, 0.0000, 0.4987) [2 per cell]
Y (0.2504, 0.0000, 0.2500) [4 per cell]
Y (0.5000, 0.0000, 0.0021) [2 per cell]
Y (0.5000, 0.2483, 0.3338) [4 per cell]


# 8
This entry pairs a crystal structure of Nd2Y7 with its simulated X-ray diffraction stick pattern. Radiation: Cu Kα (λ = 1.5418 Å). Structure: DFT lattice parameters and positions (GGA-PBE).

Top 10 peaks for 10 to 80 degrees two-theta, in order of rising 2θ:
2θ/deg  I (rel.)  (hkl)
26.88  13.3  1 0 1
30.81  69.7  1 1 1
31.69  100.0  3 0 0
32.62  26.6  2 0 1
37.57  22.3  2 1 1
44.79  21.0  2 2 1
53.57  18.3  3 2 1
55.90  19.5  4 1 1
56.45  15.5  3 3 0
60.98  32.2  3 0 2

Structure:
a b c (Å): 9.7809 9.7809 3.6050
angles (deg): 90.00 90.00 120.00
Space group P-62m (No. 189)
Inequivalent atoms, fractional coordinates:
Nd (0.3333, 0.6667, 0.0000) [2 per cell]
Y (0.0000, 0.0000, 0.5000) [1 per cell]
Y (0.0000, 0.3052, 0.0000) [3 per cell]
Y (0.0000, 0.6429, 0.5000) [3 per cell]


# 9
This entry pairs a crystal structure of Nd2Y7 with its simulated X-ray diffraction stick pattern. Radiation: Cu Kα (λ = 1.5418 Å). Structure: DFT lattice parameters and positions (GGA-PBE).

Top 10 peaks for 10 to 80 degrees two-theta, in order of rising 2θ:
2θ/deg  I (rel.)  (hkl)
10.05  3.4  0 0 1
19.30  1.4  1 0 1
20.19  1.1  0 0 2
28.66  1.1  1 1 0
30.45  100.0  1 1 1
35.31  50.1  2 -1 2
50.80  34.9  3 0 0
60.39  40.8  3 0 3
63.38  11.7  2 2 2
74.68  5.5  4 -2 4

Structure:
a b c (Å): 6.2292 6.2292 8.7978
angles (deg): 90.00 90.00 120.00
Space group P-31m (No. 162)
Inequivalent atoms, fractional coordinates:
Nd (0.3333, 0.6667, 0.0000) [2 per cell]
Y (0.0000, 0.0000, 0.0000) [1 per cell]
Y (0.0000, 0.3331, 0.6646) [6 per cell]


# 10
This entry pairs a crystal structure of Nd6YZn with its simulated X-ray diffraction stick pattern. Radiation: Cu Kα (λ = 1.5418 Å). Structure: DFT lattice parameters and positions (GGA-PBE).

Top 10 peaks for 10 to 80 degrees two-theta, in order of rising 2θ:
2θ/deg  I (rel.)  (hkl)
26.96  25.3  1 1 1
28.06  12.7  2 0 0
29.91  100.0  1 -2 0
32.92  26.5  2 1 0
33.84  73.4  1 2 -1
46.72  19.5  0 3 1
50.46  23.6  2 1 -3
58.14  13.8  0 4 -1
59.12  9.7  3 1 2
62.15  10.8  2 -4 0

Structure:
a b c (Å): 6.4373 6.4396 6.4402
angles (deg): 95.97 96.05 95.95
Space group P-1 (No. 2)
Inequivalent atoms, fractional coordinates:
Nd (0.0466, 0.2646, 0.0748) [2 per cell]
Nd (0.2356, 0.9249, 0.4535) [2 per cell]
Nd (0.4254, 0.4531, 0.7356) [2 per cell]
Y (0.5000, 0.0000, 0.0000) [1 per cell]
Zn (0.0000, 0.5000, 0.5000) [1 per cell]


# 11
This entry pairs a crystal structure of Nd4YZn with its simulated X-ray diffraction stick pattern. Radiation: Cu Kα (λ = 1.5418 Å). Structure: DFT lattice parameters and positions (GGA-PBE).

Top 10 peaks for 10 to 80 degrees two-theta, in order of rising 2θ:
2θ/deg  I (rel.)  (hkl)
25.08  9.0  1 0 1
27.44  10.4  1 0 2
30.99  100.0  1 0 3
31.94  9.1  0 0 5
34.56  45.9  1 1 0
47.77  11.8  1 1 5
49.69  16.3  2 0 0
52.73  11.3  1 1 6
58.38  11.9  1 0 8
59.72  30.4  2 1 3

Structure:
a b c (Å): 3.6699 3.6699 14.0114
angles (deg): 90.00 90.00 90.00
Space group P4/mmm (No. 123)
Inequivalent atoms, fractional coordinates:
Nd (0.0000, 0.0000, 0.1314) [2 per cell]
Nd (0.5000, 0.5000, 0.3187) [2 per cell]
Y (0.0000, 0.0000, 0.5000) [1 per cell]
Zn (0.5000, 0.5000, 0.0000) [1 per cell]